No. 1
For Li2AgF3, a cell relaxed with GGA-PBE gives the theoretical XRD peak list in this record (Cu Kα (λ = 1.5418 Å)).

Structural model:
Cell lengths 7.196, 2.874, 14.706 Å; angles 90.00, 90.00, 90.00 degrees
Sites, in units of the cell vectors:
Li 0.057 0.250 0.167
Li 0.160 0.750 0.994
Li 0.340 0.250 0.494
Li 0.443 0.750 0.667
Li 0.557 0.250 0.333
Li 0.660 0.750 0.506
Li 0.840 0.250 0.006
Li 0.943 0.750 0.833
Ag 0.027 0.750 0.376
Ag 0.473 0.250 0.876
Ag 0.527 0.750 0.124
Ag 0.973 0.250 0.624
F 0.039 0.250 0.917
F 0.147 0.750 0.240
F 0.177 0.750 0.535
F 0.323 0.250 0.035
F 0.353 0.250 0.740
F 0.461 0.750 0.417
F 0.539 0.250 0.583
F 0.647 0.750 0.260
F 0.677 0.750 0.965
F 0.823 0.250 0.465
F 0.853 0.250 0.760
F 0.961 0.750 0.083

Main lines, low angle first (2θ from 10° to 90°):
d [Å]  2θ/deg  I (rel.)
6.464  13.7  100
4.051  21.9  37
3.676  24.2  25
3.598  24.7  37
2.820  31.7  34
2.571  34.9  45
2.509  35.8  42
2.041  44.4  28
1.805  50.6  26
1.786  51.1  23

No. 2
For LiAgF3, a cell relaxed with GGA-PBE gives the theoretical XRD peak list in this record (Cu Kα (λ = 1.5418 Å)).

Structural model:
Cell lengths 5.494, 5.640, 8.381 Å; angles 89.90, 87.43, 89.78 degrees
Sites, in units of the cell vectors:
Li 0.027 0.483 0.229
Li 0.472 0.982 0.270
Li 0.528 0.018 0.730
Li 0.973 0.517 0.771
Ag 0.000 0.000 0.000
Ag 0.000 0.000 0.500
Ag 0.500 0.500 0.000
Ag 0.500 0.500 0.500
F 0.155 0.337 0.949
F 0.163 0.161 0.284
F 0.184 0.362 0.611
F 0.319 0.863 0.890
F 0.334 0.661 0.216
F 0.347 0.838 0.552
F 0.653 0.162 0.448
F 0.666 0.339 0.784
F 0.681 0.137 0.110
F 0.816 0.638 0.389
F 0.837 0.839 0.716
F 0.845 0.663 0.051

Main lines, low angle first (2θ from 10° to 90°):
d [Å]  2θ/deg  I (rel.)
4.186  21.2  67
3.934  22.6  100
2.914  30.7  62
2.821  31.7  57
2.744  32.6  15
2.342  38.4  30
2.337  38.5  14
1.873  48.6  13
1.824  50.0  17
1.629  56.5  27

No. 3
For Li5AgF8, a cell relaxed with GGA-PBE gives the theoretical XRD peak list in this record (Cu Kα (λ = 1.5418 Å)).

Structural model:
Cell lengths 6.111, 6.111, 6.111 Å; angles 58.50, 58.50, 58.50 degrees
Sites, in units of the cell vectors:
Li 0.000 0.500 0.500
Li 0.141 0.141 0.141
Li 0.500 0.000 0.500
Li 0.500 0.500 0.000
Li 0.859 0.859 0.859
Ag 0.500 0.500 0.500
F 0.253 0.253 0.742
F 0.253 0.742 0.253
F 0.258 0.747 0.747
F 0.266 0.266 0.266
F 0.734 0.734 0.734
F 0.742 0.253 0.253
F 0.747 0.258 0.747
F 0.747 0.747 0.258

Main lines, low angle first (2θ from 10° to 90°):
d [Å]  2θ/deg  I (rel.)
5.046  17.6  21
4.894  18.1  100
4.270  20.8  57
3.054  29.2  20
2.986  29.9  29
2.613  34.3  26
2.570  34.9  36
2.135  42.3  56
1.527  60.6  17
1.493  62.2  17

No. 4
For Li17Ag12F29, a cell relaxed with GGA-PBE gives the theoretical XRD peak list in this record (Cu Kα (λ = 1.5418 Å)).

Structural model:
Cell lengths 10.905, 10.905, 10.905 Å; angles 60.00, 60.00, 60.00 degrees
Sites, in units of the cell vectors:
Li 0.000 0.000 0.000
Li 0.058 0.647 0.647
Li 0.136 0.136 0.136
Li 0.136 0.136 0.592
Li 0.136 0.592 0.136
Li 0.353 0.353 0.353
Li 0.353 0.353 0.942
Li 0.353 0.942 0.353
Li 0.513 0.829 0.829
Li 0.592 0.136 0.136
Li 0.647 0.058 0.647
Li 0.647 0.647 0.058
Li 0.647 0.647 0.647
Li 0.829 0.513 0.829
Li 0.829 0.829 0.513
Li 0.829 0.829 0.829
Li 0.942 0.353 0.353
Ag 0.005 0.005 0.495
Ag 0.005 0.495 0.005
Ag 0.005 0.495 0.495
Ag 0.202 0.202 0.798
Ag 0.202 0.798 0.202
Ag 0.202 0.798 0.798
Ag 0.495 0.005 0.005
Ag 0.495 0.005 0.495
Ag 0.495 0.495 0.005
Ag 0.798 0.202 0.202
Ag 0.798 0.202 0.798
Ag 0.798 0.798 0.202
F 0.035 0.466 0.749
F 0.035 0.749 0.466
F 0.035 0.749 0.749
F 0.068 0.068 0.068
F 0.068 0.068 0.795
F 0.068 0.795 0.068
F 0.251 0.251 0.530
F 0.251 0.251 0.968
F 0.251 0.530 0.251
F 0.251 0.530 0.968
F 0.251 0.968 0.251
F 0.251 0.968 0.530
F 0.466 0.035 0.749
F 0.466 0.749 0.035
F 0.466 0.749 0.749
F 0.530 0.251 0.251
F 0.530 0.251 0.968
F 0.530 0.968 0.251
F 0.749 0.035 0.466
F 0.749 0.035 0.749
F 0.749 0.466 0.035
F 0.749 0.466 0.749
F 0.749 0.749 0.035
F 0.749 0.749 0.466
F 0.750 0.750 0.750
F 0.795 0.068 0.068
F 0.968 0.251 0.251
F 0.968 0.251 0.530
F 0.968 0.530 0.251

Main lines, low angle first (2θ from 10° to 90°):
d [Å]  2θ/deg  I (rel.)
5.452  16.3  56
3.855  23.1  100
3.538  25.2  25
3.148  28.4  45
2.968  30.1  42
2.726  32.9  75
2.570  34.9  30
2.226  40.5  48
2.159  41.8  26
1.817  50.2  35

No. 5
For LiAg2F6, a cell relaxed with GGA-PBE gives the theoretical XRD peak list in this record (Cu Kα (λ = 1.5418 Å)).

Structural model:
Cell lengths 5.474, 5.474, 4.818 Å; angles 90.00, 90.00, 120.00 degrees
Sites, in units of the cell vectors:
Li 0.000 0.000 0.000
Ag 0.333 0.667 0.257
Ag 0.667 0.333 0.743
F 0.000 0.354 0.500
F 0.000 0.657 0.000
F 0.343 0.343 0.000
F 0.354 0.000 0.500
F 0.646 0.646 0.500
F 0.657 0.000 0.000

Main lines, low angle first (2θ from 10° to 90°):
d [Å]  2θ/deg  I (rel.)
4.741  18.7  39
3.379  26.4  100
2.737  32.7  22
2.380  37.8  10
2.148  42.1  9
2.127  42.5  27
1.808  50.5  31
1.680  54.6  25
1.580  58.4  14
1.269  74.9  9

No. 6
For MgAgF3, a cell relaxed with GGA-PBE gives the theoretical XRD peak list in this record (Cu Kα (λ = 1.5418 Å)).

Structural model:
Cell lengths 3.988, 3.988, 3.988 Å; angles 90.00, 90.00, 90.00 degrees
Sites, in units of the cell vectors:
Mg 0.000 0.000 0.000
Ag 0.500 0.500 0.500
F 0.000 0.000 0.500
F 0.000 0.500 0.000
F 0.500 0.000 0.000

Main lines, low angle first (2θ from 10° to 90°):
d [Å]  2θ/deg  I (rel.)
3.988  22.3  37
2.820  31.7  100
2.303  39.1  56
1.994  45.5  48
1.784  51.2  17
1.628  56.5  38
1.410  66.3  27
1.261  75.4  16
1.202  79.7  16
1.151  84.1  9

No. 7
For MgAgF3, a cell relaxed with GGA-PBE gives the theoretical XRD peak list in this record (Cu Kα (λ = 1.5418 Å)).

Structural model:
Cell lengths 5.628, 5.628, 5.628 Å; angles 59.84, 59.84, 59.84 degrees
Sites, in units of the cell vectors:
Mg 0.000 0.000 0.000
Mg 0.500 0.500 0.500
Ag 0.250 0.250 0.250
Ag 0.750 0.750 0.750
F 0.189 0.750 0.311
F 0.250 0.689 0.811
F 0.311 0.189 0.750
F 0.689 0.811 0.250
F 0.750 0.311 0.189
F 0.811 0.250 0.689

Main lines, low angle first (2θ from 10° to 90°):
d [Å]  2θ/deg  I (rel.)
3.975  22.4  41
2.811  31.8  100
2.300  39.2  14
2.293  39.3  36
1.987  45.6  43
1.776  51.5  10
1.626  56.6  10
1.622  56.8  34
1.407  66.5  12
1.404  66.6  10

No. 8
For Ag3P2NO6F2, a cell relaxed with GGA-PBE gives the theoretical XRD peak list in this record (Cu Kα (λ = 1.5418 Å)).

Structural model:
Cell lengths 16.497, 16.497, 9.991 Å; angles 107.02, 107.02, 19.36 degrees
Sites, in units of the cell vectors:
Ag 0.000 0.000 0.000
Ag 0.059 0.848 0.329
Ag 0.152 0.941 0.671
Ag 0.290 0.121 0.505
Ag 0.351 0.146 0.250
Ag 0.369 0.218 0.004
Ag 0.511 0.398 0.829
Ag 0.602 0.489 0.171
Ag 0.660 0.340 0.500
Ag 0.782 0.631 0.996
Ag 0.854 0.649 0.750
Ag 0.879 0.710 0.495
P 0.090 0.027 0.359
P 0.265 0.116 0.815
P 0.390 0.228 0.684
P 0.571 0.311 0.141
P 0.689 0.429 0.859
P 0.772 0.610 0.316
P 0.884 0.735 0.185
P 0.973 0.910 0.641
N 0.221 0.030 0.091
N 0.428 0.319 0.412
N 0.681 0.572 0.588
N 0.970 0.779 0.909
O 0.051 0.347 0.305
O 0.078 0.821 0.790
O 0.114 0.286 0.702
O 0.141 0.458 0.200
O 0.152 0.770 0.551
O 0.179 0.922 0.210
O 0.189 0.232 0.964
O 0.230 0.848 0.449
O 0.231 0.366 0.799
O 0.267 0.309 0.537
O 0.432 0.489 0.051
O 0.482 0.415 0.290
O 0.511 0.568 0.949
O 0.542 0.859 0.800
O 0.585 0.518 0.710
O 0.634 0.769 0.201
O 0.653 0.949 0.695
O 0.691 0.733 0.463
O 0.714 0.886 0.298
O 0.716 0.191 0.638
O 0.768 0.811 0.036
O 0.809 0.284 0.362
O 0.852 0.054 0.138
O 0.946 0.148 0.862
F 0.155 0.064 0.430
F 0.201 0.079 0.788
F 0.413 0.306 0.711
F 0.505 0.275 0.069
F 0.694 0.587 0.289
F 0.725 0.495 0.931
F 0.921 0.799 0.212
F 0.936 0.845 0.570

Main lines, low angle first (2θ from 10° to 90°):
d [Å]  2θ/deg  I (rel.)
7.764  11.4  100
4.124  21.5  21
3.049  29.3  27
3.039  29.4  64
2.855  31.3  50
2.775  32.3  33
2.588  34.7  14
2.310  39.0  15
2.278  39.6  15
2.052  44.1  18

Q: What is the formula in the eighth record?
A: Ag3P2NO6F2

Please write out number 6 again, unchanged.
For MgAgF3, a cell relaxed with GGA-PBE gives the theoretical XRD peak list in this record (Cu Kα (λ = 1.5418 Å)).

Structural model:
Cell lengths 3.988, 3.988, 3.988 Å; angles 90.00, 90.00, 90.00 degrees
Sites, in units of the cell vectors:
Mg 0.000 0.000 0.000
Ag 0.500 0.500 0.500
F 0.000 0.000 0.500
F 0.000 0.500 0.000
F 0.500 0.000 0.000

Main lines, low angle first (2θ from 10° to 90°):
d [Å]  2θ/deg  I (rel.)
3.988  22.3  37
2.820  31.7  100
2.303  39.1  56
1.994  45.5  48
1.784  51.2  17
1.628  56.5  38
1.410  66.3  27
1.261  75.4  16
1.202  79.7  16
1.151  84.1  9

Copy entry 6 word for word.
For MgAgF3, a cell relaxed with GGA-PBE gives the theoretical XRD peak list in this record (Cu Kα (λ = 1.5418 Å)).

Structural model:
Cell lengths 3.988, 3.988, 3.988 Å; angles 90.00, 90.00, 90.00 degrees
Sites, in units of the cell vectors:
Mg 0.000 0.000 0.000
Ag 0.500 0.500 0.500
F 0.000 0.000 0.500
F 0.000 0.500 0.000
F 0.500 0.000 0.000

Main lines, low angle first (2θ from 10° to 90°):
d [Å]  2θ/deg  I (rel.)
3.988  22.3  37
2.820  31.7  100
2.303  39.1  56
1.994  45.5  48
1.784  51.2  17
1.628  56.5  38
1.410  66.3  27
1.261  75.4  16
1.202  79.7  16
1.151  84.1  9